Structure and computed powder X-ray diffraction pattern of EuBr3 (a cell relaxed with GGA-PBE; copper Kα).
Peak positions follow from Bragg's law for the DFT cell and can differ from measured ones.

Crystal structure
abc: 6.668 6.668 5.687
angles: 90.00 90.00 120.00
Fractional positions:
Eu: 0.333 0.667 0.250
Eu: 0.667 0.333 0.750
Br: 0.173 0.346 0.750
Br: 0.173 0.827 0.750
Br: 0.346 0.173 0.250
Br: 0.654 0.827 0.750
Br: 0.827 0.173 0.250
Br: 0.827 0.654 0.250

Principal peaks in the range 10° ≤ 2θ ≤ 90°, in order of falling intensity:
- 2θ 34.85, 2.574 Å, rel. 100, (2 0 1)
- 2θ 31.46, 2.843 Å, rel. 30, (0 0 2)
- 2θ 30.97, 2.887 Å, rel. 23, (2 0 0)
- 2θ 58.22, 1.585 Å, rel. 22, (2 0 3)
- 2θ 64.84, 1.438 Å, rel. 21, (2 2 2)
- 2θ 55.09, 1.667 Å, rel. 17, (2 2 0)
- 2θ 44.73, 2.026 Å, rel. 16, (2 0 2)
- 2θ 66.87, 1.399 Å, rel. 14, (4 0 1)
- 2θ 84.33, 1.148 Å, rel. 8, (4 0 3)
- 2θ 21.94, 4.052 Å, rel. 8, (1 0 1)